[1]
Structure and computed XRD peak list of Na3Pd2Pb3 (a DFT-relaxed cell (GGA-PBE, Alexandria); CuKα).
Intensities are scaled so that the largest is 100.

Structure:
```
Na3Pd2Pb3
1.0
8.148 0.000 0.000
-4.074 7.056 0.000
0.000 0.000 3.340
Na Pd Pb
3 2 3
direct
0.000 0.754 0.000 Na
0.246 0.246 0.000 Na
0.754 0.000 0.000 Na
0.333 0.667 0.000 Pd
0.667 0.333 0.000 Pd
0.000 0.400 0.500 Pb
0.400 0.000 0.500 Pb
0.600 0.600 0.500 Pb
```

Peak list (8 most intense, 10 to 80 degrees two-theta, by angle)
| Position (°2θ) | d (Å) | I (rel.) |
| --- | --- | --- |
| 12.55 | 7.056 | 55 |
| 21.82 | 4.074 | 54 |
| 33.60 | 2.667 | 33 |
| 34.73 | 2.583 | 100 |
| 37.06 | 2.426 | 41 |
| 38.27 | 2.352 | 28 |
| 46.40 | 1.957 | 32 |
| 54.33 | 1.689 | 29 |

=====

[2]
Structure and computed XRD peak list of CeAl2Os2 (a DFT-relaxed cell (GGA-PBE, Alexandria); CuKα).
Intensities are scaled so that the largest is 100.

Structure:
```
CeAl2Os2
1.0
-2.025 2.025 11.170
2.025 -2.025 11.170
2.025 2.025 -11.170
Ce Al Os
2 4 4
direct
0.125 0.125 0.000 Ce
0.875 0.875 0.000 Ce
0.000 0.500 0.500 Al
0.317 0.317 0.000 Al
0.500 0.000 0.500 Al
0.683 0.683 0.000 Al
0.250 0.750 0.500 Os
0.431 0.431 0.000 Os
0.569 0.569 0.000 Os
0.750 0.250 0.500 Os
```

Peak list (8 most intense, 10 to 80 degrees two-theta, by angle)
| Position (°2θ) | d (Å) | I (rel.) |
| --- | --- | --- |
| 23.90 | 3.723 | 39 |
| 32.27 | 2.774 | 57 |
| 35.21 | 2.549 | 100 |
| 35.82 | 2.507 | 53 |
| 42.72 | 2.116 | 23 |
| 44.75 | 2.025 | 55 |
| 45.36 | 1.999 | 25 |
| 58.60 | 1.575 | 26 |

=====

[3]
Structure and computed XRD peak list of Nd3Co13B2 (a DFT-relaxed cell (GGA-PBE, Alexandria); CuKα).
Intensities are scaled so that the largest is 100.

Structure:
```
Nd3Co13B2
1.0
5.071 0.000 0.000
-2.536 4.392 0.000
0.000 0.000 10.772
Nd Co B
3 13 2
direct
0.000 0.000 0.000 Nd
0.000 0.000 0.323 Nd
0.000 0.000 0.677 Nd
0.000 0.500 0.135 Co
0.000 0.500 0.500 Co
0.000 0.500 0.865 Co
0.333 0.667 0.318 Co
0.333 0.667 0.682 Co
0.500 0.000 0.135 Co
0.500 0.000 0.500 Co
0.500 0.000 0.865 Co
0.500 0.500 0.135 Co
0.500 0.500 0.500 Co
0.500 0.500 0.865 Co
0.667 0.333 0.318 Co
0.667 0.333 0.682 Co
0.333 0.667 0.000 B
0.667 0.333 0.000 B
```

Peak list (8 most intense, 10 to 80 degrees two-theta, by angle)
| Position (°2θ) | d (Å) | I (rel.) |
| --- | --- | --- |
| 32.20 | 2.780 | 71 |
| 35.40 | 2.536 | 33 |
| 41.10 | 2.196 | 62 |
| 43.70 | 2.071 | 100 |
| 61.55 | 1.507 | 22 |
| 63.51 | 1.465 | 19 |
| 69.32 | 1.356 | 24 |
| 74.90 | 1.268 | 20 |

=====

[4]
Structure and computed XRD peak list of Rb2SmTlI6 (a DFT-relaxed cell (GGA-PBE, Alexandria); CuKα).
Intensities are scaled so that the largest is 100.

Structure:
```
Rb2SmTlI6
1.0
4.462 2.576 7.491
-4.462 2.576 7.491
0.000 -5.152 7.491
Rb Sm Tl I
2 1 1 6
direct
0.000 0.000 0.000 Rb
0.491 0.491 0.491 Rb
0.704 0.704 0.704 Sm
0.210 0.210 0.210 Tl
0.035 0.465 0.839 I
0.366 0.918 0.576 I
0.465 0.839 0.035 I
0.576 0.366 0.918 I
0.839 0.035 0.465 I
0.918 0.576 0.366 I
```

Peak list (8 most intense, 10 to 80 degrees two-theta, by angle)
| Position (°2θ) | d (Å) | I (rel.) |
| --- | --- | --- |
| 13.91 | 6.367 | 77 |
| 19.53 | 4.544 | 29 |
| 23.20 | 3.833 | 100 |
| 28.03 | 3.184 | 74 |
| 31.18 | 2.869 | 77 |
| 34.61 | 2.592 | 30 |
| 34.83 | 2.576 | 50 |
| 54.25 | 1.691 | 26 |

=====

Please write out number 4 again, unchanged.
Structure and computed XRD peak list of Rb2SmTlI6 (a DFT-relaxed cell (GGA-PBE, Alexandria); CuKα).
Intensities are scaled so that the largest is 100.

Structure:
```
Rb2SmTlI6
1.0
4.462 2.576 7.491
-4.462 2.576 7.491
0.000 -5.152 7.491
Rb Sm Tl I
2 1 1 6
direct
0.000 0.000 0.000 Rb
0.491 0.491 0.491 Rb
0.704 0.704 0.704 Sm
0.210 0.210 0.210 Tl
0.035 0.465 0.839 I
0.366 0.918 0.576 I
0.465 0.839 0.035 I
0.576 0.366 0.918 I
0.839 0.035 0.465 I
0.918 0.576 0.366 I
```

Peak list (8 most intense, 10 to 80 degrees two-theta, by angle)
| Position (°2θ) | d (Å) | I (rel.) |
| --- | --- | --- |
| 13.91 | 6.367 | 77 |
| 19.53 | 4.544 | 29 |
| 23.20 | 3.833 | 100 |
| 28.03 | 3.184 | 74 |
| 31.18 | 2.869 | 77 |
| 34.61 | 2.592 | 30 |
| 34.83 | 2.576 | 50 |
| 54.25 | 1.691 | 26 |